Entry 1:
Structure and computed X-ray diffraction stick pattern of InSe2O5 (a DFT-relaxed cell (PBE, Alexandria); a wavelength of 1.5418 Å).
Kinematic intensities with the Lorentz-polarization factor, no thermal factor.

Peak list (12 most intense, 15 to 90 degrees two-theta, in order of rising 2θ)
hkl 1 1 1, 2θ = 19.69°, 4.509 Å, intensity 939; hkl 1 2 1, 2θ = 23.91°, 3.722 Å, intensity 1000; hkl 1 3 0, 2θ = 26.55°, 3.357 Å, intensity 841; hkl 1 0 2, 2θ = 29.19°, 3.060 Å, intensity 286; hkl 2 1 1, 2θ = 29.41°, 3.037 Å, intensity 759; hkl 2 2 0, 2θ = 29.58°, 3.020 Å, intensity 277; hkl 1 3 1, 2θ = 29.69°, 3.009 Å, intensity 550; hkl 1 1 2, 2θ = 30.24°, 2.956 Å, intensity 757; hkl 0 2 2, 2θ = 30.67°, 2.915 Å, intensity 315; hkl 2 2 2, 2θ = 39.99°, 2.255 Å, intensity 289; hkl 0 2 3, 2θ = 43.05°, 2.101 Å, intensity 304; hkl 1 5 3, 2θ = 58.94°, 1.567 Å, intensity 293

Structure:
Unit cell a=7.1148 b=11.4237 c=6.7786 alpha=90.00 beta=90.00 gamma=90.00
Space group Pbcn (No. 60)
Asymmetric unit:
In (0.0000, 0.0558, 0.2500) [4 per cell]
Se (0.1238, 0.3381, 0.0492) [8 per cell]
O (0.0000, 0.4197, 0.2500) [4 per cell]
O (0.1747, 0.0722, 0.5433) [8 per cell]
O (0.1981, 0.2150, 0.1658) [8 per cell]

***

Entry 2:
Structure and computed X-ray diffraction stick pattern of ErVFe4 (a DFT-relaxed cell (PBE, Alexandria); a wavelength of 1.5418 Å).
Kinematic intensities with the Lorentz-polarization factor, no thermal factor.

Peak list (12 most intense, 15 to 90 degrees two-theta, in order of rising 2θ)
hkl 1 1 1, 2θ = 22.08°, 4.026 Å, intensity 173; hkl 2 0 0, 2θ = 25.55°, 3.486 Å, intensity 170; hkl 2 2 0, 2θ = 36.45°, 2.465 Å, intensity 469; hkl 3 1 1, 2θ = 43.02°, 2.102 Å, intensity 1000; hkl 2 2 2, 2θ = 45.04°, 2.013 Å, intensity 250; hkl 3 3 1, 2θ = 57.62°, 1.600 Å, intensity 49; hkl 4 2 0, 2θ = 59.27°, 1.559 Å, intensity 68; hkl 4 2 2, 2θ = 65.59°, 1.423 Å, intensity 163; hkl 5 1 1, 2θ = 70.13°, 1.342 Å, intensity 296; hkl 4 4 0, 2θ = 77.43°, 1.233 Å, intensity 205; hkl 4 4 2, 2θ = 83.12°, 1.162 Å, intensity 36; hkl 6 2 0, 2θ = 88.74°, 1.102 Å, intensity 73

Structure:
Unit cell a=6.9726 b=6.9726 c=6.9726 alpha=90.00 beta=90.00 gamma=90.00
Space group F-43m (No. 216)
Asymmetric unit:
Er (0.0000, 0.0000, 0.0000) [4 per cell]
V (0.2500, 0.2500, 0.7500) [4 per cell]
Fe (0.1242, 0.1242, 0.3758) [16 per cell]

***

Entry 3:
Structure and computed X-ray diffraction stick pattern of NaLa2CuO5 (a DFT-relaxed cell (PBE, Alexandria); a wavelength of 1.5418 Å).
Kinematic intensities with the Lorentz-polarization factor, no thermal factor.

Peak list (12 most intense, 15 to 90 degrees two-theta, in order of rising 2θ)
hkl 0 0 1, 2θ = 15.69°, 5.650 Å, intensity 703; hkl 1 1 0, 2θ = 18.23°, 4.866 Å, intensity 325; hkl 2 1 0, 2θ = 29.01°, 3.078 Å, intensity 336; hkl 2 0 1, 2θ = 30.42°, 2.939 Å, intensity 1000; hkl 0 0 2, 2θ = 31.67°, 2.825 Å, intensity 352; hkl 2 1 1, 2θ = 33.15°, 2.703 Å, intensity 928; hkl 2 2 0, 2θ = 36.94°, 2.433 Å, intensity 234; hkl 2 1 2, 2θ = 43.48°, 2.081 Å, intensity 637; hkl 3 1 1, 2θ = 44.62°, 2.031 Å, intensity 305; hkl 2 2 2, 2θ = 49.44°, 1.844 Å, intensity 195; hkl 4 1 1, 2θ = 57.58°, 1.601 Å, intensity 304; hkl 4 1 2, 2θ = 64.89°, 1.437 Å, intensity 219

Structure:
Unit cell a=6.8819 b=6.8819 c=5.6498 alpha=90.00 beta=90.00 gamma=90.00
Space group P4/mbm (No. 127)
Asymmetric unit:
Na (0.0000, 0.0000, 0.0000) [2 per cell]
La (0.1809, 0.3191, 0.5000) [4 per cell]
Cu (0.0000, 0.5000, 0.0000) [2 per cell]
O (0.0000, 0.0000, 0.5000) [2 per cell]
O (0.1303, 0.6303, 0.2362) [8 per cell]

***

Entry 4:
Structure and computed X-ray diffraction stick pattern of V2NiS5 (a DFT-relaxed cell (PBE, Alexandria); a wavelength of 1.5418 Å).
Kinematic intensities with the Lorentz-polarization factor, no thermal factor.

Peak list (12 most intense, 15 to 90 degrees two-theta, in order of rising 2θ)
hkl 1 1 1, 2θ = 23.42°, 3.799 Å, intensity 175; hkl 1 3 3, 2θ = 38.07°, 2.364 Å, intensity 1000; hkl 0 4 4, 2θ = 42.33°, 2.135 Å, intensity 266; hkl 2 0 0, 2θ = 42.63°, 2.121 Å, intensity 437; hkl 0 0 6, 2θ = 44.73°, 2.026 Å, intensity 307; hkl 2 2 0, 2θ = 45.35°, 2.000 Å, intensity 393; hkl 0 2 6, 2θ = 47.36°, 1.920 Å, intensity 188; hkl 1 5 3, 2θ = 49.06°, 1.857 Å, intensity 554; hkl 2 4 4, 2θ = 61.64°, 1.505 Å, intensity 159; hkl 2 0 6, 2θ = 63.50°, 1.465 Å, intensity 197; hkl 2 2 6, 2θ = 65.59°, 1.423 Å, intensity 174; hkl 2 8 0, 2θ = 78.01°, 1.225 Å, intensity 183

Structure:
Unit cell a=4.2417 b=12.0011 c=12.1568 alpha=90.00 beta=90.00 gamma=90.00
Space group Fmmm (No. 69)
Asymmetric unit:
V (0.0000, 0.0000, 0.1866) [8 per cell]
Ni (0.0000, 0.0000, 0.5000) [4 per cell]
S (0.0000, 0.0000, 0.0000) [4 per cell]
S (0.0000, 0.1200, 0.3404) [16 per cell]

***

Entry 5:
Structure and computed X-ray diffraction stick pattern of FePd5Au2 (a DFT-relaxed cell (PBE, Alexandria); a wavelength of 1.5418 Å).
Kinematic intensities with the Lorentz-polarization factor, no thermal factor.

Peak list (12 most intense, 15 to 90 degrees two-theta, in order of rising 2θ)
hkl 1 1 0, 2θ = 22.14°, 4.015 Å, intensity 107; hkl 1 1 2, 2θ = 31.94°, 2.802 Å, intensity 91; hkl 2 0 2, 2θ = 39.20°, 2.298 Å, intensity 1000; hkl 2 2 0, 2θ = 45.16°, 2.008 Å, intensity 333; hkl 0 0 4, 2θ = 46.41°, 1.957 Å, intensity 154; hkl 3 1 0, 2θ = 50.85°, 1.796 Å, intensity 26; hkl 3 1 2, 2θ = 56.38°, 1.632 Å, intensity 39; hkl 4 0 0, 2θ = 65.78°, 1.420 Å, intensity 107; hkl 2 2 4, 2θ = 66.76°, 1.401 Å, intensity 205; hkl 4 2 2, 2θ = 79.33°, 1.208 Å, intensity 253; hkl 2 0 6, 2θ = 81.15°, 1.185 Å, intensity 119; hkl 4 0 4, 2θ = 84.28°, 1.149 Å, intensity 110

Structure:
Unit cell a=5.6785 b=5.6785 c=7.8261 alpha=90.00 beta=90.00 gamma=90.00
Space group I4/mmm (No. 139)
Asymmetric unit:
Fe (0.0000, 0.0000, 0.0000) [2 per cell]
Pd (0.0000, 0.0000, 0.5000) [2 per cell]
Pd (0.2500, 0.2500, 0.2500) [8 per cell]
Au (0.0000, 0.5000, 0.0000) [4 per cell]

***

Entry 6:
Structure and computed X-ray diffraction stick pattern of SiO2 (a DFT-relaxed cell (PBE, Alexandria); a wavelength of 1.5418 Å).
Kinematic intensities with the Lorentz-polarization factor, no thermal factor.

Peak list (12 most intense, 15 to 90 degrees two-theta, in order of rising 2θ)
hkl 1 1 0, 2θ = 15.21°, 5.825 Å, intensity 992; hkl 1 1 1, 2θ = 22.09°, 4.024 Å, intensity 1000; hkl 2 1 0, 2θ = 24.16°, 3.684 Å, intensity 790; hkl 0 0 2, 2θ = 32.17°, 2.782 Å, intensity 188; hkl 3 0 0, 2θ = 32.61°, 2.746 Å, intensity 300; hkl 2 2 1, 2θ = 34.76°, 2.581 Å, intensity 171; hkl 1 1 2, 2θ = 35.77°, 2.510 Å, intensity 263; hkl 4 0 0, 2θ = 43.96°, 2.060 Å, intensity 140; hkl 4 1 1, 2θ = 48.40°, 1.881 Å, intensity 260; hkl 1 1 3, 2θ = 51.75°, 1.767 Å, intensity 148; hkl 5 0 2, 2θ = 65.88°, 1.418 Å, intensity 122; hkl 6 2 2, 2θ = 81.61°, 1.180 Å, intensity 184

Structure:
Unit cell a=8.2384 b=8.2384 c=5.5642 alpha=90.00 beta=90.00 gamma=90.00
Space group P4_2/mcm (No. 132)
Asymmetric unit:
Si (0.0687, 0.3138, 0.0000) [8 per cell]
O (0.0000, 0.2366, 0.2500) [8 per cell]
O (0.0000, 0.5000, 0.0000) [4 per cell]
O (0.2658, 0.2658, 0.0000) [4 per cell]

***

Entry 7:
Structure and computed X-ray diffraction stick pattern of Al9Co2Ni (a DFT-relaxed cell (PBE, Alexandria); a wavelength of 1.5418 Å).
Kinematic intensities with the Lorentz-polarization factor, no thermal factor.

Peak list (12 most intense, 15 to 90 degrees two-theta, in order of rising 2θ)
hkl 1 0 3, 2θ = 20.87°, 4.257 Å, intensity 184; hkl 0 0 4, 2θ = 22.97°, 3.872 Å, intensity 185; hkl 1 3 0, 2θ = 25.16°, 3.540 Å, intensity 135; hkl 2 0 2, 2θ = 26.31°, 3.388 Å, intensity 216; hkl 0 3 3, 2θ = 28.19°, 3.166 Å, intensity 178; hkl 1 0 7, 2θ = 42.61°, 2.122 Å, intensity 155; hkl 2 3 5, 2θ = 44.10°, 2.053 Å, intensity 1000; hkl 0 6 0, 2θ = 45.23°, 2.005 Å, intensity 247; hkl 3 0 5, 2θ = 46.56°, 1.950 Å, intensity 108; hkl 0 3 7, 2θ = 46.93°, 1.936 Å, intensity 165; hkl 4 0 0, 2θ = 48.31°, 1.884 Å, intensity 96; hkl 2 9 5, 2θ = 82.72°, 1.167 Å, intensity 94

Structure:
Unit cell a=7.5357 b=12.0298 c=15.4774 alpha=90.00 beta=90.00 gamma=90.00
Space group Immm (No. 71)
Asymmetric unit:
Al (0.0000, 0.0000, 0.0000) [2 per cell]
Al (0.0000, 0.0000, 0.2501) [4 per cell]
Al (0.0000, 0.0000, 0.5000) [2 per cell]
Al (0.0000, 0.1742, 0.1276) [8 per cell]
Al (0.0000, 0.3319, 0.0000) [4 per cell]
Al (0.0000, 0.3380, 0.4136) [8 per cell]
Al (0.0000, 0.5000, 0.1354) [4 per cell]
Al (0.1872, 0.3542, 0.2538) [16 per cell]
Al (0.1999, 0.1551, 0.4107) [16 per cell]
Al (0.2358, 0.5000, 0.4014) [8 per cell]
Co (0.0000, 0.5000, 0.3011) [4 per cell]
Co (0.1864, 0.5000, 0.0000) [4 per cell]
Co (0.2061, 0.1686, 0.0000) [8 per cell]
Ni (0.0000, 0.1882, 0.2882) [8 per cell]